Theoretical PXRD pattern of Tb5Sm2Tm6 for Cu Kα (weighted mean of Kα1 and Kα2), from the PBE geometry in Alexandria.

Crystal structure
abc: 11.582 20.142 3.552
angles: 90.00 90.00 90.00
Positions (direct):
Tb  0.000  0.000  0.000
Tb  0.089  0.275  0.000
Tb  0.200  0.549  0.000
Tb  0.300  0.049  0.000
Tb  0.411  0.775  0.000
Tb  0.500  0.500  0.000
Tb  0.589  0.225  0.000
Tb  0.700  0.951  0.000
Tb  0.800  0.451  0.000
Tb  0.911  0.725  0.000
Sm  0.169  0.713  0.500
Sm  0.331  0.213  0.500
Sm  0.669  0.787  0.500
Sm  0.831  0.287  0.500
Tm  0.059  0.420  0.500
Tm  0.080  0.132  0.500
Tm  0.177  0.868  0.000
Tm  0.323  0.368  0.000
Tm  0.420  0.632  0.500
Tm  0.441  0.920  0.500
Tm  0.559  0.080  0.500
Tm  0.580  0.368  0.500
Tm  0.677  0.632  0.000
Tm  0.823  0.132  0.000
Tm  0.920  0.868  0.500
Tm  0.941  0.580  0.500

The 10 most intense peaks (2θ = 10–90°), by angle:
2θ (°), I (rel.)
27.7, 30
30.8, 27
31.2, 62
31.8, 48
32.1, 84
32.4, 100
34.6, 40
35.4, 25
36.9, 34
61.9, 29

***

Theoretical PXRD pattern of Tb4Sm4Tm for Cu Kα (weighted mean of Kα1 and Kα2), from the PBE geometry in Alexandria.

Crystal structure
abc: 8.012 8.012 8.012
angles: 95.73 95.73 143.17
Positions (direct):
Tb  0.166  0.166  0.332
Tb  0.166  0.834  0.000
Tb  0.834  0.166  0.000
Tb  0.834  0.834  0.668
Sm  0.168  0.500  0.668
Sm  0.500  0.168  0.668
Sm  0.500  0.832  0.332
Sm  0.832  0.500  0.332
Tm  0.500  0.500  0.000

The 10 most intense peaks (2θ = 10–90°), by angle:
2θ (°), I (rel.)
30.6, 100
35.4, 51
51.0, 36
60.6, 43
63.6, 12
75.0, 4
75.1, 2
83.1, 18
85.7, 11
85.8, 6

***

Theoretical PXRD pattern of TbSm7Tm3 for Cu Kα (weighted mean of Kα1 and Kα2), from the PBE geometry in Alexandria.

Crystal structure
abc: 7.013 11.061 10.113
angles: 90.00 110.14 90.00
Positions (direct):
Tb  0.000  0.000  0.000
Tb  0.000  0.500  0.000
Sm  0.090  0.042  0.679
Sm  0.090  0.458  0.679
Sm  0.164  0.750  0.820
Sm  0.301  0.250  0.104
Sm  0.347  0.750  0.177
Sm  0.417  0.017  0.330
Sm  0.417  0.483  0.330
Sm  0.583  0.517  0.670
Sm  0.583  0.983  0.670
Sm  0.653  0.250  0.823
Sm  0.699  0.750  0.896
Sm  0.836  0.250  0.180
Sm  0.910  0.542  0.321
Sm  0.910  0.958  0.321
Tm  0.246  0.250  0.479
Tm  0.267  0.750  0.516
Tm  0.500  0.000  0.000
Tm  0.500  0.500  0.000
Tm  0.733  0.250  0.484
Tm  0.754  0.750  0.521

The 10 most intense peaks (2θ = 10–90°), by angle:
2θ (°), I (rel.)
30.8, 11
31.7, 100
31.8, 19
32.4, 33
32.6, 65
46.0, 23
52.2, 11
57.3, 12
57.6, 12
62.8, 21

***

Theoretical PXRD pattern of Tb4Sm4Tm3 for Cu Kα (weighted mean of Kα1 and Kα2), from the PBE geometry in Alexandria.

Crystal structure
abc: 18.226 18.226 3.541
angles: 95.54 95.54 17.62
Positions (direct):
Tb  0.044  0.044  0.042
Tb  0.318  0.318  0.320
Tb  0.682  0.682  0.680
Tb  0.956  0.956  0.958
Sm  0.221  0.221  0.220
Sm  0.404  0.404  0.906
Sm  0.596  0.596  0.094
Sm  0.779  0.779  0.780
Tm  0.130  0.130  0.627
Tm  0.500  0.500  0.500
Tm  0.870  0.870  0.373

The 10 most intense peaks (2θ = 10–90°), by angle:
2θ (°), I (rel.)
30.7, 36
31.5, 82
31.8, 100
32.1, 54
36.1, 21
45.0, 25
56.8, 16
57.0, 34
61.9, 30
62.1, 16

***

Theoretical PXRD pattern of Tb6SmTm2 for Cu Kα (weighted mean of Kα1 and Kα2), from the PBE geometry in Alexandria.

Crystal structure
abc: 9.536 9.536 6.564
angles: 99.05 99.05 96.05
Positions (direct):
Tb  0.038  0.439  0.726
Tb  0.148  0.780  0.998
Tb  0.220  0.852  0.502
Tb  0.278  0.451  0.180
Tb  0.439  0.038  0.226
Tb  0.451  0.278  0.680
Tb  0.549  0.722  0.320
Tb  0.561  0.962  0.774
Tb  0.722  0.549  0.820
Tb  0.780  0.148  0.498
Tb  0.852  0.220  0.002
Tb  0.962  0.561  0.274
Sm  0.378  0.622  0.750
Sm  0.622  0.378  0.250
Tm  0.117  0.163  0.366
Tm  0.163  0.117  0.866
Tm  0.837  0.883  0.134
Tm  0.883  0.837  0.634

The 10 most intense peaks (2θ = 10–90°), by angle:
2θ (°), I (rel.)
28.8, 69
29.1, 57
31.0, 100
31.5, 85
31.6, 100
32.4, 69
33.2, 59
33.8, 58
34.5, 53
60.6, 31

***

Theoretical PXRD pattern of Tb3Sm5Tm for Cu Kα (weighted mean of Kα1 and Kα2), from the PBE geometry in Alexandria.

Crystal structure
abc: 8.783 8.783 11.917
angles: 107.33 107.33 44.93
Positions (direct):
Tb  0.000  0.000  0.000
Tb  0.000  0.000  0.500
Tb  0.338  0.447  0.989
Tb  0.447  0.338  0.489
Tb  0.553  0.662  0.511
Tb  0.662  0.553  0.011
Sm  0.094  0.479  0.235
Sm  0.127  0.237  0.446
Sm  0.237  0.127  0.946
Sm  0.318  0.682  0.750
Sm  0.479  0.094  0.735
Sm  0.521  0.906  0.265
Sm  0.682  0.318  0.250
Sm  0.763  0.873  0.054
Sm  0.873  0.763  0.554
Sm  0.906  0.521  0.765
Tm  0.193  0.807  0.250
Tm  0.807  0.193  0.750

The 10 most intense peaks (2θ = 10–90°), by angle:
2θ (°), I (rel.)
27.9, 21
31.0, 100
31.1, 57
31.3, 66
31.7, 56
32.0, 30
32.1, 35
35.2, 21
40.0, 18
56.1, 27

***

Theoretical PXRD pattern of Tb4Sm19Tm6 for Cu Kα (weighted mean of Kα1 and Kα2), from the PBE geometry in Alexandria.

Crystal structure
abc: 10.891 10.891 10.891
angles: 109.47 109.47 109.47
Positions (direct):
Tb  0.000  0.000  0.640
Tb  0.000  0.640  0.000
Tb  0.360  0.360  0.360
Tb  0.640  0.000  0.000
Sm  0.000  0.000  0.000
Sm  0.000  0.262  0.262
Sm  0.000  0.738  0.738
Sm  0.015  0.798  0.341
Sm  0.202  0.218  0.544
Sm  0.218  0.544  0.202
Sm  0.262  0.000  0.262
Sm  0.262  0.262  0.000
Sm  0.326  0.782  0.985
Sm  0.341  0.015  0.798
Sm  0.456  0.674  0.659
Sm  0.544  0.202  0.218
Sm  0.659  0.456  0.674
Sm  0.674  0.659  0.456
Sm  0.738  0.000  0.738
Sm  0.738  0.738  0.000
Sm  0.782  0.985  0.326
Sm  0.798  0.341  0.015
Sm  0.985  0.326  0.782
Tm  0.125  0.625  0.500
Tm  0.375  0.500  0.875
Tm  0.500  0.125  0.625
Tm  0.500  0.875  0.375
Tm  0.625  0.500  0.125
Tm  0.875  0.375  0.500

The 10 most intense peaks (2θ = 10–90°), by angle:
2θ (°), I (rel.)
26.5, 49
28.4, 55
30.1, 100
35.0, 39
36.4, 74
41.9, 23
53.5, 25
59.7, 29
60.7, 23
71.1, 18

***

Theoretical PXRD pattern of TbSm4Tm5 for Cu Kα (weighted mean of Kα1 and Kα2), from the PBE geometry in Alexandria.

Crystal structure
abc: 8.688 8.688 11.113
angles: 90.10 90.10 23.28
Positions (direct):
Tb  0.000  0.000  0.000
Sm  0.156  0.156  0.250
Sm  0.469  0.469  0.251
Sm  0.531  0.531  0.749
Sm  0.844  0.844  0.750
Tm  0.000  0.000  0.500
Tm  0.326  0.326  0.051
Tm  0.327  0.327  0.452
Tm  0.673  0.673  0.548
Tm  0.674  0.674  0.949

The 10 most intense peaks (2θ = 10–90°), by angle:
2θ (°), I (rel.)
26.2, 18
27.2, 22
31.5, 29
32.0, 26
32.2, 19
34.1, 100
48.8, 15
52.2, 11
57.8, 12
62.6, 13

***

Theoretical PXRD pattern of Tb12SmTm2 for Cu Kα (weighted mean of Kα1 and Kα2), from the PBE geometry in Alexandria.

Crystal structure
abc: 3.560 5.585 24.347
angles: 90.00 94.11 90.00
Positions (direct):
Tb  0.036  0.000  0.074
Tb  0.223  0.000  0.444
Tb  0.286  0.500  0.576
Tb  0.336  0.000  0.671
Tb  0.401  0.000  0.798
Tb  0.432  0.500  0.861
Tb  0.568  0.500  0.139
Tb  0.599  0.000  0.202
Tb  0.664  0.000  0.329
Tb  0.714  0.500  0.424
Tb  0.777  0.000  0.556
Tb  0.964  0.000  0.926
Sm  0.500  0.500  0.000
Tm  0.134  0.500  0.272
Tm  0.866  0.500  0.728

The 10 most intense peaks (2θ = 10–90°), by angle:
2θ (°), I (rel.)
30.3, 100
31.2, 47
32.0, 69
32.3, 39
32.5, 69
33.6, 37
46.1, 29
51.3, 19
60.8, 19
61.8, 21

***

Theoretical PXRD pattern of Tb6Sm8Tm for Cu Kα (weighted mean of Kα1 and Kα2), from the PBE geometry in Alexandria.

Crystal structure
abc: 9.405 9.405 6.539
angles: 90.00 90.00 120.00
Positions (direct):
Tb  0.091  0.437  0.339
Tb  0.346  0.909  0.339
Tb  0.437  0.346  0.661
Tb  0.563  0.654  0.339
Tb  0.654  0.091  0.661
Tb  0.909  0.563  0.661
Sm  0.034  0.282  0.833
Sm  0.249  0.966  0.833
Sm  0.282  0.249  0.167
Sm  0.333  0.667  0.879
Sm  0.667  0.333  0.121
Sm  0.718  0.751  0.833
Sm  0.751  0.034  0.167
Sm  0.966  0.718  0.167
Tm  0.000  0.000  0.500

The 10 most intense peaks (2θ = 10–90°), by angle:
2θ (°), I (rel.)
25.8, 26
29.0, 29
29.4, 21
32.1, 100
33.0, 22
33.4, 55
50.8, 19
51.4, 21
61.9, 12
62.4, 10

***

Theoretical PXRD pattern of Tb3Sm7Tm2 for Cu Kα (weighted mean of Kα1 and Kα2), from the PBE geometry in Alexandria.

Crystal structure
abc: 19.257 19.257 3.606
angles: 90.00 90.00 162.79
Positions (direct):
Tb  0.000  0.000  0.000
Tb  0.185  0.815  0.000
Tb  0.815  0.185  0.000
Sm  0.093  0.907  0.500
Sm  0.268  0.732  0.500
Sm  0.427  0.573  0.000
Sm  0.500  0.500  0.500
Sm  0.573  0.427  0.000
Sm  0.732  0.268  0.500
Sm  0.907  0.093  0.500
Tm  0.352  0.648  0.500
Tm  0.648  0.352  0.500

The 10 most intense peaks (2θ = 10–90°), by angle:
2θ (°), I (rel.)
28.1, 20
30.1, 53
31.1, 86
31.5, 100
33.6, 37
34.3, 30
44.5, 20
50.6, 15
55.5, 20
60.6, 18